1.
Theoretical powder diffractogram
Compound: TiAlNi2
Radiation: λ = 1.5418 Å (Cu Kα)
Structure: a GGA-PBE-relaxed structure
Peak positions follow from Bragg's law for the DFT cell and can differ from measured ones.

Main lines, by intensity (2θ = 15–90°):
2θ = 43.3°, I 100
2θ = 79.4°, I 20
2θ = 62.8°, I 10
2θ = 79.6°, I 10
2θ = 30.2°, I 7
2θ = 63.1°, I 5
2θ = 30.3°, I 3
2θ = 53.7°, I 3
2θ = 15.0°, I 3
2θ = 71.3°, I 2
2θ = 33.9°, I 1
2θ = 71.5°, I 1

Crystal structure
a b c (Å): 2.958 2.958 5.895
angles (deg): 90.00 90.00 90.00
Positions (direct):
1 Ti 0.000 0.000 0.000
2 Al 0.000 0.000 0.500
3 Ni 0.500 0.500 0.250
4 Ni 0.500 0.500 0.750

2.
Theoretical powder diffractogram
Compound: Pr2Cu3Ge3
Radiation: λ = 1.5418 Å (Cu Kα)
Structure: a GGA-PBE-relaxed structure
Peak positions follow from Bragg's law for the DFT cell and can differ from measured ones.

Main lines, by intensity (2θ = 15–90°):
2θ = 33.6°, I 100
2θ = 33.4°, I 51
2θ = 42.0°, I 34
2θ = 42.8°, I 30
2θ = 55.3°, I 23
2θ = 47.5°, I 22
2θ = 30.1°, I 21
2θ = 61.5°, I 21
2θ = 37.9°, I 20
2θ = 65.2°, I 17
2θ = 57.9°, I 13
2θ = 71.4°, I 11

Crystal structure
a b c (Å): 4.226 8.863 8.863
angles (deg): 28.07 90.00 90.00
Positions (direct):
1 Pr 0.000 0.000 0.000
2 Pr 0.500 0.213 0.213
3 Cu 0.000 0.362 0.362
4 Cu 0.000 0.782 0.782
5 Cu 0.500 0.577 0.577
6 Ge 0.000 0.642 0.642
7 Ge 0.500 0.438 0.438
8 Ge 0.500 0.851 0.851

Question: Which formula does entry 1 have?
Answer: TiAlNi2